Simulated powder XRD pattern of CsLiH4N2 for Cu Kα, 1.54184 Å, from a cell relaxed with PBE.
Kinematic intensities with the Lorentz-polarization factor, no thermal factor.

Crystal structure
abc: 6.503 6.503 8.511
angles: 90.00 90.00 120.00
Fractional positions:
1 Cs 0.000 0.500 0.167
2 Cs 0.500 0.000 0.500
3 Cs 0.500 0.500 0.833
4 Li 0.000 0.000 0.000
5 Li 0.000 0.000 0.333
6 Li 0.000 0.000 0.667
7 H 0.088 0.394 0.545
8 H 0.088 0.694 0.788
9 H 0.306 0.394 0.455
10 H 0.306 0.912 0.879
11 H 0.394 0.088 0.121
12 H 0.394 0.306 0.212
13 H 0.606 0.694 0.212
14 H 0.606 0.912 0.121
15 H 0.694 0.088 0.879
16 H 0.694 0.606 0.455
17 H 0.912 0.306 0.788
18 H 0.912 0.606 0.545
19 N 0.141 0.281 0.500
20 N 0.141 0.859 0.833
21 N 0.281 0.141 0.167
22 N 0.719 0.859 0.167
23 N 0.859 0.141 0.833
24 N 0.859 0.719 0.500

Peak list (8 most intense, 10° ≤ 2θ ≤ 80°, in order of rising 2θ)
2θ 18.90, d 4.696, I 100.0; 2θ 26.25, d 3.395, I 49.1; 2θ 29.41, d 3.037, I 68.4; 2θ 31.54, d 2.837, I 20.8; 2θ 31.78, d 2.816, I 37.1; 2θ 34.72, d 2.584, I 43.4; 2θ 43.84, d 2.065, I 24.1; 2θ 45.38, d 1.998, I 23.4

Simulated powder XRD pattern of Cs2RbAuF6 for Cu Kα, 1.54184 Å, from a cell relaxed with PBE.
Kinematic intensities with the Lorentz-polarization factor, no thermal factor.

Crystal structure
abc: 6.834 6.834 6.834
angles: 60.00 60.00 60.00
Fractional positions:
1 Cs 0.250 0.250 0.250
2 Cs 0.750 0.750 0.750
3 Rb 0.000 0.000 0.000
4 Au 0.500 0.500 0.500
5 F 0.277 0.277 0.723
6 F 0.277 0.723 0.277
7 F 0.277 0.723 0.723
8 F 0.723 0.277 0.277
9 F 0.723 0.277 0.723
10 F 0.723 0.723 0.277

Peak list (8 most intense, 10° ≤ 2θ ≤ 80°, in order of rising 2θ)
2θ 15.88, d 5.580, I 13.6; 2θ 26.08, d 3.417, I 100.0; 2θ 37.21, d 2.416, I 32.5; 2θ 46.01, d 1.973, I 42.1; 2θ 53.65, d 1.708, I 21.2; 2θ 60.60, d 1.528, I 20.5; 2θ 67.10, d 1.395, I 6.9; 2θ 73.30, d 1.291, I 23.2